[1]
This entry pairs a crystal structure of PrDy2HoEr with its calculated powder diffraction line list. Radiation: λ = 1.5418 Å (Cu Kα). Structure: a structure optimized by DFT (PBE).

Main lines, sorted by position (10° ≤ 2θ ≤ 80°):
26.31°, intensity 47, (2 2 0)
28.06°, intensity 33, (1 1 2)
29.28°, intensity 55, (0 2 2)
31.16°, intensity 62, (0 4 0)
32.77°, intensity 100, (2 0 2)
32.96°, intensity 32, (3 1 0)
35.87°, intensity 55, (1 3 2)
39.92°, intensity 41, (3 3 0)
45.85°, intensity 67, (2 4 2)
66.07°, intensity 34, (3 7 0)

a b c (Å): 8.391 11.483 7.202
angles (deg): 90.00 90.00 90.00
Space group Cmcm (No. 63)
Inequivalent atoms, fractional coordinates:
Pr 0.000 0.228 0.250 (multiplicity 4)
Dy 0.190 0.000 0.000 (multiplicity 8)
Ho 0.000 0.499 0.250 (multiplicity 4)
Er 0.000 0.223 0.750 (multiplicity 4)



[2]
This entry pairs a crystal structure of V4WC5 with its calculated powder diffraction line list. Radiation: λ = 1.5418 Å (Cu Kα). Structure: a structure optimized by DFT (PBE).

Main lines, sorted by position (10° ≤ 2θ ≤ 80°):
14.59°, intensity 40, (0 0 6)
21.97°, intensity 18, (0 0 9)
34.82°, intensity 17, (1 0 1)
35.09°, intensity 17, (0 1 2)
36.92°, intensity 91, (0 1 5)
37.03°, intensity 30, (0 0 15)
42.93°, intensity 100, (1 0 10)
62.25°, intensity 31, (1 1 0)
62.39°, intensity 30, (0 1 20)
74.67°, intensity 34, (2 0 5)

a b c (Å): 2.9827 2.9827 36.4183
angles (deg): 90.00 90.00 120.00
Space group R-3m (No. 166, hexagonal axes)
Inequivalent atoms, fractional coordinates:
V 0.0000 0.0000 0.0981 (multiplicity 6)
V 0.0000 0.0000 0.3005 (multiplicity 6)
W 0.0000 0.0000 0.5000 (multiplicity 3)
C 0.0000 0.0000 0.0000 (multiplicity 3)
C 0.0000 0.0000 0.2026 (multiplicity 6)
C 0.0000 0.0000 0.3987 (multiplicity 6)



[3]
This entry pairs a crystal structure of Ac5Tl2CoH with its calculated powder diffraction line list. Radiation: λ = 1.5418 Å (Cu Kα). Structure: a structure optimized by DFT (PBE).

Main lines, sorted by position (10° ≤ 2θ ≤ 80°):
25.76°, intensity 30, (0 4 3)
25.90°, intensity 27, (0 2 4)
27.41°, intensity 21, (0 6 0)
27.96°, intensity 58, (1 3 2)
28.09°, intensity 29, (0 6 1)
28.27°, intensity 100, (1 1 3)
31.20°, intensity 39, (1 5 0)
33.56°, intensity 19, (1 5 2)
42.87°, intensity 34, (2 0 0)
50.70°, intensity 18, (2 4 3)

a b c (Å): 4.222 19.522 14.700
angles (deg): 90.00 90.00 90.00
Space group Cmc2_1 (No. 36)
Inequivalent atoms, fractional coordinates:
Ac 0.000 0.001 0.000 (multiplicity 4)
Ac 0.000 0.162 0.256 (multiplicity 4)
Ac 0.000 0.189 0.623 (multiplicity 4)
Ac 0.000 0.192 0.894 (multiplicity 4)
Ac 0.000 0.461 0.242 (multiplicity 4)
Tl 0.000 0.373 0.576 (multiplicity 4)
Tl 0.000 0.373 0.939 (multiplicity 4)
Co 0.000 0.309 0.258 (multiplicity 4)
H 0.000 0.058 0.649 (multiplicity 4)